Calculated XRD peak list of Na2ZnAgSn2 for Cu Ka, from a crystal structure in Alexandria, relaxed with GGA-PBE.
Peak positions follow from Bragg's law for the DFT cell and can differ from measured ones.

Top 6 peaks for 2θ from 10° to 90°, in order of rising 2θ:
2θ/deg	I (rel.)
12.20	100
22.97	93
36.99	69
37.46	66
39.36	67
69.50	25

Crystal structure
```
Na2ZnAgSn2
1.0
-3.2029 7.2553 3.2735
3.2029 -7.2553 3.2735
3.2029 7.2553 -3.2735
Na Zn Ag Sn
4 2 2 4
Direct
0.1642 0.2408 0.4050 Na
0.3358 0.7408 0.0766 Na
0.6642 0.2592 0.9234 Na
0.8358 0.7592 0.5950 Na
0.2500 0.7500 0.5000 Zn
0.7500 0.2500 0.5000 Zn
0.2500 0.2500 0.0000 Ag
0.7500 0.7500 0.0000 Ag
0.1126 0.7395 0.8521 Sn
0.3874 0.2395 0.6269 Sn
0.6126 0.7605 0.3731 Sn
0.8874 0.2605 0.1479 Sn
```